Diffraction record for Gd5Fe2B6. The X-ray diffraction stick pattern is computed, not measured: it uses a structure optimized by DFT (GGA-PBE) and λ = 1.5418 Å (Cu Kα).
Kinematic intensities with the Lorentz-polarization factor, no thermal factor.

Structural model:
Cell lengths 8.366, 8.366, 8.366 Å; angles 37.89, 37.89, 37.89 degrees
Fractional coordinates of all 13 atoms:
1 Gd 0.000 0.000 0.000
2 Gd 0.251 0.251 0.251
3 Gd 0.416 0.416 0.416
4 Gd 0.584 0.584 0.584
5 Gd 0.749 0.749 0.749
6 Fe 0.117 0.117 0.117
7 Fe 0.883 0.883 0.883
8 B 0.168 0.500 0.832
9 B 0.168 0.832 0.500
10 B 0.500 0.168 0.832
11 B 0.500 0.832 0.168
12 B 0.832 0.168 0.500
13 B 0.832 0.500 0.168

Most intense lines, 10° ≤ 2θ ≤ 80°, low angle first:
3.878 Å, rel. 16.3
3.309 Å, rel. 16.5
2.716 Å, rel. 100.0
2.474 Å, rel. 13.9
2.225 Å, rel. 31.0
1.578 Å, rel. 17.1
1.568 Å, rel. 25.6
1.358 Å, rel. 8.9